Starting from a DFT-relaxed cell (PBE+U, the Materials Project), the X-ray powder pattern of BaNdCr4O12 was simulated for λ = 1.5418 Å (Cu Kα).
No peak broadening, texture or thermal motion is included.

Main lines, in order of rising 2θ (5° ≤ 2θ ≤ 70°):
hkl  2θ (°)  I (rel.)
1 0 1  20.12  987
2 0 0  33.15  1000
2 1 1  39.03  357
1 0 3  39.18  175
2 2 0  47.49  293
2 1 3  52.20  156
3 1 2  59.16  249
2 2 4  69.64  159

Structural model:
Cell: 5.4146 5.4146 7.6183 Å, 90.00 90.00 90.00°
Element x y z (fractional)
Ba (0.0000, 0.0000, 0.0000)
Nd (0.5000, 0.5000, 0.5000)
Cr (0.0000, 0.5000, 0.2482)
Cr (0.0000, 0.5000, 0.7518)
Cr (0.5000, 0.0000, 0.2482)
Cr (0.5000, 0.0000, 0.7518)
O (0.0000, 0.5000, 0.0000)
O (0.0000, 0.5000, 0.5000)
O (0.2589, 0.2589, 0.2619)
O (0.2589, 0.2589, 0.7381)
O (0.2589, 0.7411, 0.2619)
O (0.2589, 0.7411, 0.7381)
O (0.5000, 0.0000, 0.0000)
O (0.5000, 0.0000, 0.5000)
O (0.7411, 0.2589, 0.2619)
O (0.7411, 0.2589, 0.7381)
O (0.7411, 0.7411, 0.2619)
O (0.7411, 0.7411, 0.7381)